Calculated powder XRD pattern of VCr3Ir3 for λ = 1.5418 Å (Cu Kα), from the PBE geometry in Alexandria.
No peak broadening, texture or thermal motion is included.

Atomic structure:
```
data_VCr3Ir3
_chemical_formula_sum 'V4 Cr12 Ir12'
_space_group_name_H-M_alt 'C m m m'
_space_group_IT_number 65
_space_group_name_Hall '-C 2 2'
_cell_length_a 8.3250
_cell_length_b 8.5020
_cell_length_c 5.4461
_cell_angle_alpha 90.00
_cell_angle_beta 90.00
_cell_angle_gamma 90.00
loop_
_atom_site_label
_atom_site_fract_x
_atom_site_fract_y
_atom_site_fract_z
V1 0.1641 0.0000 0.0000
Cr1 0.0000 0.1484 0.5000
Cr2 0.0000 0.2421 0.0000
Cr3 0.2346 0.0000 0.5000
Ir1 0.0000 0.5000 0.2511
Ir2 0.2500 0.2500 0.2546
```

Largest 10 diffraction maxima, in order of rising 2θ, 2θ from 10° to 90°:
hkl	2theta	d/Å	intensity
1 1 0	14.89	5.948	22
2 2 0	30.05	2.974	52
0 0 2	32.89	2.723	15
1 1 2	36.28	2.476	24
0 4 0	42.53	2.125	27
4 0 0	43.48	2.081	27
2 2 2	45.14	2.008	100
4 4 2	72.41	1.305	15
2 6 2	79.68	1.203	16
6 2 2	81.00	1.187	14